Theoretical PXRD pattern of NaTlI4 for Cu Kα X-rays, from DFT lattice parameters and positions (PBE).
No peak broadening, texture or thermal motion is included.

Largest 6 diffraction maxima, sorted by position, 2θ from 5° to 70°:
d = 6.153 Å, 14.39 deg, I = 80, hkl 1 1 1; d = 4.322 Å, 20.55 deg, I = 56, hkl 1 1 2; d = 3.791 Å, 23.47 deg, I = 100, hkl 2 2 0; d = 3.733 Å, 23.84 deg, I = 45, hkl 2 0 2; d = 2.279 Å, 39.54 deg, I = 41, hkl 3 3 2; d = 2.169 Å, 41.63 deg, I = 35, hkl 4 2 2

Structure:
a b c (Å): 10.5985 10.8665 10.5178
angles (deg): 90.00 90.00 90.00
Space group C222_1 (No. 20)
Unique sites:
1 Na 0.0000 0.1823 0.2500
2 Tl 0.1444 0.5000 0.5000
3 I 0.0037 0.2842 0.9729
4 I 0.2082 0.0312 0.7760



Theoretical PXRD pattern of Ba3Y2Cu2PtO10 for Cu Kα X-rays, from DFT lattice parameters and positions (PBE).
No peak broadening, texture or thermal motion is included.

Largest 6 diffraction maxima, sorted by position, 2θ from 5° to 70°:
d = 3.627 Å, 24.54 deg, I = 21, hkl 0 0 2; d = 3.319 Å, 26.86 deg, I = 47, hkl 3 1 -1; d = 3.169 Å, 28.16 deg, I = 26, hkl 1 1 -2; d = 2.938 Å, 30.42 deg, I = 50, hkl 0 2 0; d = 2.804 Å, 31.92 deg, I = 100, hkl 3 1 1; d = 1.669 Å, 55.04 deg, I = 27, hkl 3 3 1

Structure:
a b c (Å): 12.6038 5.8760 7.5298
angles (deg): 90.00 105.53 90.00
Space group C2/m (No. 12)
Unique sites:
1 Ba 0.0000 0.0000 0.0000
2 Ba 0.1532 0.0000 0.5405
3 Y 0.1888 0.5000 0.8737
4 Cu 0.0893 0.5000 0.1997
5 Pt 0.0000 0.5000 0.5000
6 O 0.0170 0.2795 0.7176
7 O 0.1675 0.5000 0.5521
8 O 0.1828 0.2713 0.1247



Theoretical PXRD pattern of TmCu2Ru for Cu Kα X-rays, from DFT lattice parameters and positions (PBE).
No peak broadening, texture or thermal motion is included.

Largest 6 diffraction maxima, sorted by position, 2θ from 5° to 70°:
d = 3.647 Å, 24.41 deg, I = 6, hkl 1 1 1; d = 3.158 Å, 28.26 deg, I = 14, hkl 2 0 0; d = 2.233 Å, 40.39 deg, I = 100, hkl 2 2 0; d = 1.823 Å, 50.02 deg, I = 4, hkl 2 2 2; d = 1.579 Å, 58.44 deg, I = 16, hkl 4 0 0; d = 1.412 Å, 66.16 deg, I = 5, hkl 4 2 0

Structure:
a b c (Å): 6.3164 6.3164 6.3164
angles (deg): 90.00 90.00 90.00
Space group Fm-3m (No. 225)
Unique sites:
1 Tm 0.0000 0.0000 0.0000
2 Cu 0.2500 0.2500 0.2500
3 Ru 0.0000 0.0000 0.5000



Theoretical PXRD pattern of Dy2Ho6Tl for Cu Kα X-rays, from DFT lattice parameters and positions (PBE).
No peak broadening, texture or thermal motion is included.

Largest 6 diffraction maxima, sorted by position, 2θ from 5° to 70°:
d = 2.853 Å, 31.35 deg, I = 100, hkl 3 0 1; d = 2.491 Å, 36.05 deg, I = 34, hkl 3 3 0; d = 2.433 Å, 36.95 deg, I = 16, hkl 0 0 2; d = 1.740 Å, 52.58 deg, I = 24, hkl 3 3 2; d = 1.499 Å, 61.91 deg, I = 29, hkl 6 3 1; d = 1.473 Å, 63.11 deg, I = 14, hkl 3 0 3

Structure:
a b c (Å): 10.5688 10.5688 4.8656
angles (deg): 90.00 90.00 90.00
Space group P4_2/mnm (No. 136)
Unique sites:
1 Dy 0.1625 0.1625 0.0000
2 Ho 0.0003 0.3360 0.5000
3 Ho 0.1623 0.8377 0.0000
4 Tl 0.0000 0.0000 0.5000